No. 1
Diffraction record for KInHg2Cl8. The X-ray powder pattern is calculated, not measured: it uses a crystal structure in Alexandria, relaxed with PBE and λ = 1.5418 Å (Cu Kα).
Neutral-atom scattering factors, no anomalous dispersion.

Most intense lines, 5 to 70 degrees two-theta, low angle first:
index  2theta  Rel. int.
0 1 0  13.2  41
1 -1 0  18.9  100
1 1 0  19.2  96
1 0 2  21.9  58
0 1 2  23.7  37
1 1 2  24.4  37
0 2 0  26.6  35
1 0 -2  28.5  35
1 -2 0  29.9  38
2 1 2  31.9  29
1 2 2  32.8  44
2 -1 2  33.7  42

Structure:
```
data_KInHg2Cl8
_symmetry_space_group_name_H-M 'P -1'
_symmetry_Int_Tables_number 2
_symmetry_space_group_name_Hall '-P 1'
_cell_length_a 6.7233
_cell_length_b 6.7579
_cell_length_c 8.7548
_cell_angle_alpha 83.20
_cell_angle_beta 73.80
_cell_angle_gamma 88.85
loop_
_atom_site_label
_atom_site_type_symbol
_atom_site_fract_x
_atom_site_fract_y
_atom_site_fract_z
K1 K 0.0000 0.0000 0.0000
In1 In 0.0000 0.0000 0.5000
Hg1 Hg 0.4622 0.4875 0.2505
Cl1 Cl 0.1819 0.8226 0.6812
Cl2 Cl 0.2374 0.3369 0.4932
Cl3 Cl 0.2552 0.8786 0.2584
Cl4 Cl 0.2673 0.3991 0.9780
```

=====

No. 2
Diffraction record for PmPr6SmHo2. The X-ray powder pattern is calculated, not measured: it uses a crystal structure in Alexandria, relaxed with PBE and λ = 1.5418 Å (Cu Kα).
Neutral-atom scattering factors, no anomalous dispersion.

Most intense lines, 5 to 70 degrees two-theta, low angle first:
index  2theta  Rel. int.
2 2 -2  27.3  19
1 3 2  27.9  43
3 1 -1  29.6  56
0 2 3  29.9  49
2 4 0  30.2  16
2 2 2  30.6  100
2 4 -1  30.8  40
1 5 -1  31.6  27
1 3 -3  33.0  38
2 2 -3  33.6  15
1 7 3  52.0  21
2 0 -6  57.6  19

Structure:
```
data_PmPr6SmHo2
_symmetry_space_group_name_H-M 'C 1 2/c 1'
_symmetry_Int_Tables_number 15
_symmetry_space_group_name_Hall '-C 2yc'
_cell_length_a 9.3823
_cell_length_b 15.3797
_cell_length_c 9.8086
_cell_angle_alpha 90.00
_cell_angle_beta 97.83
_cell_angle_gamma 90.00
loop_
_atom_site_label
_atom_site_type_symbol
_atom_site_fract_x
_atom_site_fract_y
_atom_site_fract_z
Pm1 Pm 0.0000 0.0291 0.2500
Pr1 Pr 0.0654 0.1763 0.9448
Pr2 Pr 0.0962 0.3927 0.1189
Pr3 Pr 0.2123 0.2239 0.3150
Sm1 Sm 0.0000 0.4082 0.7500
Ho1 Ho 0.2460 0.0478 0.5476
```

=====

No. 3
Diffraction record for Ac8Y5Ho. The X-ray powder pattern is calculated, not measured: it uses a crystal structure in Alexandria, relaxed with PBE and λ = 1.5418 Å (Cu Kα).
Neutral-atom scattering factors, no anomalous dispersion.

Most intense lines, 5 to 70 degrees two-theta, low angle first:
index  2theta  Rel. int.
2 -1 0  22.7  37
2 1 -1  23.4  35
2 -1 1  28.9  77
-1 2 1  29.0  100
1 1 -3  29.2  88
0 3 -2  30.6  82
3 0 -2  30.7  77
2 2 -1  31.5  54
1 0 2  33.3  25
3 -3 0  41.8  25
3 3 -4  45.9  23
2 5 -3  56.5  20

Structure:
```
data_Ac8Y5Ho
_symmetry_space_group_name_H-M 'P 1'
_symmetry_Int_Tables_number 1
_symmetry_space_group_name_Hall 'P 1'
_cell_length_a 8.9639
_cell_length_b 8.9717
_cell_length_c 9.3516
_cell_angle_alpha 117.23
_cell_angle_beta 116.78
_cell_angle_gamma 92.59
loop_
_atom_site_label
_atom_site_type_symbol
_atom_site_fract_x
_atom_site_fract_y
_atom_site_fract_z
Ac1 Ac 0.0000 0.0000 0.0000
Ac2 Ac 0.0077 0.6679 0.5434
Ac3 Ac 0.1889 0.7848 0.2852
Ac4 Ac 0.3680 0.3017 0.5421
Ac5 Ac 0.4796 0.4851 0.2863
Ac6 Ac 0.6946 0.9955 0.5489
Ac7 Ac 0.7050 0.2941 0.0088
Ac8 Ac 0.7166 0.7444 0.1145
Y1 Y 0.2052 0.1199 0.7522
Y2 Y 0.2528 0.5607 0.8777
Y3 Y 0.4495 0.0259 0.1283
Y4 Y 0.4978 0.8121 0.7318
Y5 Y 0.8154 0.4951 0.7363
Ho1 Ho 0.9127 0.2107 0.4094
```